For SmGePd3, a structure optimized by DFT (GGA-PBE) gives the computed PXRD pattern in this record (copper Kα).

Crystal structure
Lattice parameters (Å, degrees): 4.714 4.714 4.714 90.00 90.00 90.00
Fractional positions:
Sm1 0.000 0.000 0.000
Ge1 0.500 0.500 0.500
Pd1 0.000 0.500 0.500
Pd2 0.500 0.000 0.500
Pd3 0.500 0.500 0.000

Main lines, in order of rising 2θ (10° ≤ 2θ ≤ 90°):
- 2θ = 18.8°, I 25
- 2θ = 26.7°, I 217
- 2θ = 32.9°, I 1000
- 2θ = 38.2°, I 947
- 2θ = 47.2°, I 94
- 2θ = 55.1°, I 645
- 2θ = 62.3°, I 41
- 2θ = 65.7°, I 397
- 2θ = 69.0°, I 216
- 2θ = 75.4°, I 47
- 2θ = 81.7°, I 101
- 2θ = 87.9°, I 25



For RuPt, a structure optimized by DFT (GGA-PBE) gives the computed PXRD pattern in this record (copper Kα).

Crystal structure
Lattice parameters (Å, degrees): 2.746 2.746 3.915 90.00 90.00 90.00
Fractional positions:
Ru1 0.000 0.000 0.000
Pt1 0.500 0.500 0.500

Main lines, in order of rising 2θ (10° ≤ 2θ ≤ 90°):
- 2θ = 22.7°, I 92
- 2θ = 32.6°, I 78
- 2θ = 40.1°, I 1000
- 2θ = 46.4°, I 165
- 2θ = 46.8°, I 323
- 2θ = 52.6°, I 44
- 2θ = 57.8°, I 33
- 2θ = 68.0°, I 211
- 2θ = 68.3°, I 104
- 2θ = 81.7°, I 128
- 2θ = 82.3°, I 252
- 2θ = 86.6°, I 113



For RuC, a structure optimized by DFT (GGA-PBE) gives the computed PXRD pattern in this record (copper Kα).

Crystal structure
Lattice parameters (Å, degrees): 6.488 6.488 6.488 24.79 24.79 24.79
Fractional positions:
Ru1 0.229 0.229 0.229
Ru2 0.771 0.771 0.771
C1 0.037 0.037 0.037
C2 0.963 0.963 0.963

Main lines, in order of rising 2θ (10° ≤ 2θ ≤ 90°):
- 2θ = 14.1°, I 444
- 2θ = 28.4°, I 463
- 2θ = 38.5°, I 1000
- 2θ = 42.1°, I 853
- 2θ = 43.2°, I 242
- 2θ = 44.6°, I 360
- 2θ = 50.8°, I 373
- 2θ = 67.0°, I 275
- 2θ = 67.2°, I 282
- 2θ = 74.5°, I 170
- 2θ = 76.7°, I 139
- 2θ = 83.3°, I 212



For AlTlS2, a structure optimized by DFT (GGA-PBE) gives the computed PXRD pattern in this record (copper Kα).

Crystal structure
Lattice parameters (Å, degrees): 7.363 7.363 15.356 96.91 96.91 90.02
Fractional positions:
Al1 0.089 0.708 0.836
Al2 0.292 0.420 0.663
Al3 0.292 0.911 0.664
Al4 0.420 0.292 0.163
Al5 0.580 0.708 0.837
Al6 0.708 0.089 0.336
Al7 0.708 0.580 0.337
Al8 0.911 0.292 0.164
Tl1 0.149 0.773 0.111
Tl2 0.217 0.349 0.385
Tl3 0.227 0.851 0.389
Tl4 0.349 0.217 0.885
Tl5 0.651 0.783 0.115
Tl6 0.773 0.149 0.611
Tl7 0.783 0.651 0.615
Tl8 0.851 0.227 0.889
S1 0.060 0.434 0.749
S2 0.061 0.939 0.750
S3 0.143 0.273 0.077
S4 0.270 0.643 0.573
S5 0.273 0.143 0.577
S6 0.357 0.730 0.927
S7 0.434 0.060 0.249
S8 0.435 0.565 0.250
S9 0.565 0.435 0.750
S10 0.566 0.940 0.751
S11 0.643 0.270 0.073
S12 0.727 0.857 0.423
S13 0.730 0.357 0.427
S14 0.857 0.727 0.923
S15 0.939 0.061 0.250
S16 0.940 0.566 0.251

Main lines, in order of rising 2θ (10° ≤ 2θ ≤ 90°):
- 2θ = 15.8°, I 295
- 2θ = 17.9°, I 282
- 2θ = 23.5°, I 446
- 2θ = 24.4°, I 833
- 2θ = 27.1°, I 333
- 2θ = 28.4°, I 370
- 2θ = 31.9°, I 1000
- 2θ = 35.0°, I 473
- 2θ = 38.9°, I 408
- 2θ = 49.5°, I 307
- 2θ = 55.2°, I 332
- 2θ = 60.1°, I 317



For La2Hf2O7, a structure optimized by DFT (GGA-PBE) gives the computed PXRD pattern in this record (copper Kα).

Crystal structure
Lattice parameters (Å, degrees): 8.088 5.745 13.816 90.00 98.46 90.00
Fractional positions:
La1 0.144 0.000 0.069
La2 0.228 0.429 0.404
La3 0.282 0.920 0.622
La4 0.356 0.442 0.901
La5 0.644 0.942 0.099
La6 0.718 0.420 0.378
La7 0.772 0.929 0.596
La8 0.856 0.500 0.931
Hf1 0.030 0.434 0.614
Hf2 0.077 0.944 0.817
Hf3 0.416 0.452 0.179
Hf4 0.473 0.935 0.384
Hf5 0.527 0.435 0.616
Hf6 0.584 0.952 0.821
Hf7 0.923 0.444 0.183
Hf8 0.970 0.934 0.386
O1 0.018 0.115 0.679
O2 0.047 0.719 0.519
O3 0.086 0.219 0.912
O4 0.118 0.646 0.725
O5 0.126 0.725 0.932
O6 0.175 0.361 0.199
O7 0.224 0.004 0.393
O8 0.271 0.345 0.584
O9 0.326 0.030 0.803
O10 0.380 0.750 0.106
O11 0.405 0.243 0.058
O12 0.430 0.613 0.321
O13 0.463 0.718 0.520
O14 0.495 0.647 0.727
O15 0.505 0.147 0.273
O16 0.537 0.218 0.480
O17 0.570 0.113 0.679
O18 0.595 0.743 0.942
O19 0.620 0.250 0.894
O20 0.674 0.530 0.197
O21 0.729 0.845 0.416
O22 0.776 0.504 0.607
O23 0.825 0.861 0.801
O24 0.874 0.225 0.068
O25 0.882 0.146 0.275
O26 0.914 0.719 0.088
O27 0.953 0.219 0.481
O28 0.982 0.615 0.321

Main lines, in order of rising 2θ (10° ≤ 2θ ≤ 90°):
- 2θ = 24.9°, I 277
- 2θ = 26.1°, I 381
- 2θ = 27.2°, I 252
- 2θ = 28.7°, I 854
- 2θ = 30.4°, I 278
- 2θ = 31.1°, I 488
- 2θ = 31.6°, I 1000
- 2θ = 41.1°, I 239
- 2θ = 44.8°, I 292
- 2θ = 49.1°, I 183
- 2θ = 55.6°, I 213
- 2θ = 55.7°, I 273



For AsSe3Br3F6, a structure optimized by DFT (GGA-PBE) gives the computed PXRD pattern in this record (copper Kα).

Crystal structure
Lattice parameters (Å, degrees): 8.314 10.386 11.990 79.45 87.32 76.45
Fractional positions:
As1 0.000 0.000 0.000
As2 0.196 0.428 0.312
As3 0.394 0.855 0.623
Se1 0.172 0.532 0.673
Se2 0.229 0.339 0.977
Se3 0.235 0.544 0.887
Se4 0.422 0.759 0.224
Se5 0.496 0.784 0.004
Se6 0.632 0.175 0.623
Se7 0.761 0.680 0.001
Se8 0.897 0.073 0.620
Se9 0.971 0.098 0.398
Br1 0.151 0.311 0.709
Br2 0.423 0.973 0.252
Br3 0.498 0.205 0.964
Br4 0.612 0.404 0.635
Br5 0.676 0.635 0.290
Br6 0.716 0.222 0.333
Br7 0.773 0.451 0.990
Br8 0.897 0.648 0.659
Br9 0.970 0.884 0.371
F1 0.003 0.893 0.899
F2 0.046 0.465 0.204
F3 0.059 0.354 0.409
F4 0.110 0.586 0.353
F5 0.130 0.862 0.092
F6 0.181 0.046 0.937
F7 0.214 0.805 0.686
F8 0.263 0.993 0.532
F9 0.282 0.270 0.272
F10 0.333 0.503 0.215
F11 0.346 0.392 0.420
F12 0.389 0.961 0.724
F13 0.396 0.751 0.522
F14 0.520 0.719 0.715
F15 0.572 0.905 0.559
F16 0.822 0.951 0.064
F17 0.875 0.136 0.908
F18 0.998 0.104 0.102

Main lines, in order of rising 2θ (10° ≤ 2θ ≤ 90°):
- 2θ = 18.7°, I 980
- 2θ = 21.8°, I 322
- 2θ = 22.5°, I 279
- 2θ = 22.6°, I 1000
- 2θ = 25.2°, I 264
- 2θ = 25.6°, I 536
- 2θ = 26.3°, I 232
- 2θ = 26.9°, I 263
- 2θ = 27.5°, I 310
- 2θ = 28.2°, I 232
- 2θ = 29.3°, I 218
- 2θ = 35.3°, I 224



For Tm6Zn23, a structure optimized by DFT (GGA-PBE) gives the computed PXRD pattern in this record (copper Kα).

Crystal structure
Lattice parameters (Å, degrees): 8.921 8.921 8.921 60.00 60.00 60.00
Fractional positions:
Tm1 0.206 0.206 0.794
Tm2 0.206 0.794 0.206
Tm3 0.206 0.794 0.794
Tm4 0.794 0.206 0.206
Tm5 0.794 0.206 0.794
Tm6 0.794 0.794 0.206
Zn1 0.000 0.000 0.500
Zn2 0.000 0.500 0.000
Zn3 0.000 0.500 0.500
Zn4 0.135 0.622 0.622
Zn5 0.171 0.171 0.171
Zn6 0.171 0.171 0.487
Zn7 0.171 0.487 0.171
Zn8 0.378 0.378 0.378
Zn9 0.378 0.378 0.865
Zn10 0.378 0.865 0.378
Zn11 0.487 0.171 0.171
Zn12 0.500 0.000 0.000
Zn13 0.500 0.000 0.500
Zn14 0.500 0.500 0.000
Zn15 0.500 0.500 0.500
Zn16 0.513 0.829 0.829
Zn17 0.622 0.135 0.622
Zn18 0.622 0.622 0.135
Zn19 0.622 0.622 0.622
Zn20 0.829 0.513 0.829
Zn21 0.829 0.829 0.513
Zn22 0.829 0.829 0.829
Zn23 0.865 0.378 0.378

Main lines, in order of rising 2θ (10° ≤ 2θ ≤ 90°):
- 2θ = 24.4°, I 153
- 2θ = 30.9°, I 191
- 2θ = 34.8°, I 297
- 2θ = 37.0°, I 846
- 2θ = 40.4°, I 1000
- 2θ = 43.0°, I 168
- 2θ = 51.7°, I 122
- 2θ = 56.0°, I 137
- 2θ = 60.0°, I 140
- 2θ = 62.5°, I 225
- 2θ = 74.9°, I 173
- 2θ = 78.4°, I 148



For Lu2InAu2, a structure optimized by DFT (GGA-PBE) gives the computed PXRD pattern in this record (copper Kα).

Crystal structure
Lattice parameters (Å, degrees): 8.218 8.218 6.951 90.00 90.00 90.00
Fractional positions:
Lu1 0.151 0.151 0.248
Lu2 0.151 0.151 0.752
Lu3 0.349 0.651 0.252
Lu4 0.349 0.651 0.748
Lu5 0.651 0.349 0.252
Lu6 0.651 0.349 0.748
Lu7 0.849 0.849 0.248
Lu8 0.849 0.849 0.752
In1 0.000 0.500 0.250
In2 0.000 0.500 0.750
In3 0.500 0.000 0.250
In4 0.500 0.000 0.750
Au1 0.139 0.861 0.500
Au2 0.143 0.857 0.000
Au3 0.357 0.357 0.500
Au4 0.361 0.361 0.000
Au5 0.639 0.639 0.000
Au6 0.643 0.643 0.500
Au7 0.857 0.143 0.000
Au8 0.861 0.139 0.500

Main lines, in order of rising 2θ (10° ≤ 2θ ≤ 90°):
- 2θ = 15.2°, I 145
- 2θ = 34.5°, I 476
- 2θ = 35.6°, I 1000
- 2θ = 44.1°, I 118
- 2θ = 46.9°, I 95
- 2θ = 47.7°, I 104
- 2θ = 52.7°, I 94
- 2θ = 53.0°, I 86
- 2θ = 64.1°, I 63
- 2θ = 64.5°, I 156
- 2θ = 67.0°, I 246
- 2θ = 88.5°, I 81



For CaAl9Ni, a structure optimized by DFT (GGA-PBE) gives the computed PXRD pattern in this record (copper Kα).

Crystal structure
Lattice parameters (Å, degrees): 7.554 7.554 7.970 90.00 90.00 120.00
Fractional positions:
Ca1 0.000 0.000 0.250
Ca2 0.000 0.000 0.750
Al1 0.049 0.524 0.250
Al2 0.208 0.416 0.516
Al3 0.208 0.416 0.984
Al4 0.208 0.792 0.516
Al5 0.208 0.792 0.984
Al6 0.416 0.208 0.016
Al7 0.416 0.208 0.484
Al8 0.476 0.524 0.250
Al9 0.476 0.951 0.250
Al10 0.524 0.049 0.750
Al11 0.524 0.476 0.750
Al12 0.584 0.792 0.516
Al13 0.584 0.792 0.984
Al14 0.792 0.208 0.016
Al15 0.792 0.208 0.484
Al16 0.792 0.584 0.016
Al17 0.792 0.584 0.484
Al18 0.951 0.476 0.750
Ni1 0.333 0.667 0.750
Ni2 0.667 0.333 0.250

Main lines, in order of rising 2θ (10° ≤ 2θ ≤ 90°):
- 2θ = 13.5°, I 349
- 2θ = 17.5°, I 615
- 2θ = 23.6°, I 268
- 2θ = 32.7°, I 673
- 2θ = 35.5°, I 1000
- 2θ = 36.3°, I 261
- 2θ = 38.1°, I 546
- 2θ = 43.0°, I 675
- 2θ = 45.5°, I 414
- 2θ = 47.5°, I 427
- 2θ = 48.2°, I 450
- 2θ = 68.4°, I 287



For Mg9Si5, a structure optimized by DFT (GGA-PBE) gives the computed PXRD pattern in this record (copper Kα).

Crystal structure
Lattice parameters (Å, degrees): 7.238 7.244 12.114 89.45 89.24 60.30
Fractional positions:
Mg1 0.000 0.000 0.000
Mg2 0.001 0.989 0.350
Mg3 0.148 0.413 0.672
Mg4 0.222 0.291 0.349
Mg5 0.236 0.276 0.004
Mg6 0.260 0.030 0.800
Mg7 0.285 0.608 0.173
Mg8 0.304 0.604 0.850
Mg9 0.321 0.605 0.512
Mg10 0.523 0.771 0.001
Mg11 0.524 0.769 0.350
Mg12 0.580 0.096 0.513
Mg13 0.618 0.723 0.667
Mg14 0.629 0.044 0.175
Mg15 0.824 0.385 0.846
Mg16 0.836 0.351 0.513
Mg17 0.844 0.389 0.173
Mg18 0.951 0.949 0.669
Si1 0.249 0.016 0.540
Si2 0.250 0.015 0.177
Si3 0.572 0.343 0.682
Si4 0.581 0.127 0.844
Si5 0.584 0.351 0.342
Si6 0.586 0.338 0.012
Si7 0.874 0.740 0.839
Si8 0.912 0.687 0.499
Si9 0.917 0.681 0.291
Si10 0.924 0.678 0.039

Main lines, in order of rising 2θ (10° ≤ 2θ ≤ 90°):
- 2θ = 33.1°, I 1000
- 2θ = 33.2°, I 311
- 2θ = 33.4°, I 677
- 2θ = 36.1°, I 717
- 2θ = 36.4°, I 273
- 2θ = 37.8°, I 290
- 2θ = 37.9°, I 297
- 2θ = 38.0°, I 266
- 2θ = 43.1°, I 656
- 2θ = 43.4°, I 340
- 2θ = 44.1°, I 406
- 2θ = 44.9°, I 542